Diffraction record for MgAlSi. The powder X-ray diffraction pattern is theoretical, not measured: it uses a structure optimized by DFT (GGA-PBE) and λ = 1.5418 Å (Cu Kα).

Largest 12 diffraction maxima, in order of rising 2θ, 5° ≤ 2θ ≤ 70°:
d_spacing  2theta  intensity  index
2.613  34.32  89.9  1 1 2
2.554  35.14  37.1  2 1 0
2.508  35.80  23.7  1 0 3
2.436  36.89  100.0  2 1 1
2.237  40.32  54.3  0 1 3
2.144  42.15  23.6  3 0 1
2.121  42.63  31.9  1 1 3
2.030  44.64  15.2  0 0 4
1.987  45.67  49.3  0 2 0
1.950  46.58  36.7  3 0 2
1.403  66.69  16.8  3 1 4
1.392  67.28  23.9  3 2 2

Atomic structure:
```
data_MgAlSi
_chemical_formula_sum 'Mg4 Al4 Si4'
_space_group_name_H-M_alt 'P n m a'
_space_group_IT_number 62
_space_group_name_Hall '-P 2ac 2n'
_cell_length_a 6.668
_cell_length_b 3.973
_cell_length_c 8.120
_cell_angle_alpha 90.00
_cell_angle_beta 90.00
_cell_angle_gamma 90.00
loop_
_atom_site_label
_atom_site_type_symbol
_atom_site_fract_x
_atom_site_fract_y
_atom_site_fract_z
Mg1 Mg 0.036 0.250 0.172
Al1 Al 0.141 0.250 0.570
Si1 Si 0.239 0.750 0.379
```